Structure and simulated X-ray powder pattern of EuCdAu5 (the GGA-PBE geometry in the Materials Project; CuKα).
No peak broadening, texture or thermal motion is included.

Principal peaks in the range 15 to 90 degrees two-theta, by angle:
2theta  d (Å)  Rel. int.  (hkl)
31.77  2.817  73  2 1 1
32.24  2.777  26  0 0 2
34.72  2.584  91  2 2 0
36.74  2.446  57  1 1 2
40.43  2.231  100  3 0 1
40.82  2.211  80  2 0 2
47.77  1.904  26  3 2 1
63.08  1.474  27  3 0 3
63.56  1.464  42  3 3 2
71.58  1.318  30  5 2 1

a = 7.308 Å, b = 7.308 Å, c = 5.553 Å
α = 90.00°, β = 90.00°, γ = 90.00°
Space group I-4m2 (No. 119)
Unique sites:
Eu 0.000 0.000 0.000 x2
Cd 0.000 0.500 0.750 x2
Au 0.000 0.500 0.250 x2
Au 0.194 0.194 0.500 x8